The following is a simulated XRD peak list of KInPb. It was derived from a cell relaxed with GGA-PBE, using Cu Kα (λ = 1.5418 Å).
Neutral-atom scattering factors, no anomalous dispersion.

The 6 most intense peaks (5 to 70 degrees two-theta), sorted by position:
d (Å)	I_rel
6.123	812
3.001	1000
2.942	962
2.587	594
2.544	486
1.814	411

a b c (Å): 7.4286 5.0912 10.8141
angles (deg): 90.00 90.00 90.00
Atoms (fractional coordinates):
1 K 0.1228 0.2500 0.0878
2 K 0.3772 0.7500 0.5878
3 K 0.6228 0.2500 0.4122
4 K 0.8772 0.7500 0.9122
5 In 0.0735 0.2500 0.7191
6 In 0.4265 0.7500 0.2191
7 In 0.5735 0.2500 0.7809
8 In 0.9265 0.7500 0.2809
9 Pb 0.1139 0.2500 0.4271
10 Pb 0.3861 0.7500 0.9271
11 Pb 0.6139 0.2500 0.0729
12 Pb 0.8861 0.7500 0.5729

---

The following is a simulated XRD peak list of Er2Tm3Pu. It was derived from a cell relaxed with GGA-PBE, using Cu Kα (λ = 1.5418 Å).
Neutral-atom scattering factors, no anomalous dispersion.

The 6 most intense peaks (5 to 70 degrees two-theta), sorted by position:
d (Å)	I_rel
3.024	376
2.811	421
2.763	1000
2.732	832
2.718	714
2.694	364

a b c (Å): 8.6470 8.6470 8.6470
angles (deg): 141.11 78.55 114.84
Atoms (fractional coordinates):
1 Er 0.1470 0.0284 0.1186
2 Er 0.4098 0.0284 0.3814
3 Er 0.5902 0.9716 0.6186
4 Er 0.8530 0.9716 0.8814
5 Tm 0.1468 0.6673 0.4795
6 Tm 0.3122 0.3327 0.9795
7 Tm 0.3841 0.6341 0.7500
8 Tm 0.6159 0.3659 0.2500
9 Tm 0.6878 0.6673 0.0205
10 Tm 0.8532 0.3327 0.5205
11 Pu 0.0000 0.0000 0.5000
12 Pu 0.0000 0.5000 0.0000

---

The following is a simulated XRD peak list of LiSi2B. It was derived from a cell relaxed with GGA-PBE, using Cu Kα (λ = 1.5418 Å).
Neutral-atom scattering factors, no anomalous dispersion.

The 6 most intense peaks (5 to 70 degrees two-theta), sorted by position:
d (Å)	I_rel
3.191	1000
2.419	337
2.234	558
2.210	477
2.027	276
1.632	341

a b c (Å): 6.8411 6.8411 8.8495
angles (deg): 90.00 90.00 90.00
Atoms (fractional coordinates):
1 Li 0.0039 0.7500 0.0754
2 Li 0.2500 0.5039 0.4246
3 Li 0.2500 0.9961 0.4246
4 Li 0.4961 0.7500 0.0754
5 Li 0.5039 0.2500 0.9246
6 Li 0.7500 0.0039 0.5754
7 Li 0.7500 0.4961 0.5754
8 Li 0.9961 0.2500 0.9246
9 Si 0.0662 0.7500 0.6207
10 Si 0.0691 0.2500 0.6365
11 Si 0.2500 0.0691 0.1365
12 Si 0.2500 0.4309 0.1365
13 Si 0.2500 0.5662 0.8793
14 Si 0.2500 0.9338 0.8793
15 Si 0.4309 0.2500 0.6365
16 Si 0.4338 0.7500 0.6207
17 Si 0.5662 0.2500 0.3793
18 Si 0.5691 0.7500 0.3635
19 Si 0.7500 0.0662 0.1207
20 Si 0.7500 0.4338 0.1207
21 Si 0.7500 0.5691 0.8635
22 Si 0.7500 0.9309 0.8635
23 Si 0.9309 0.7500 0.3635
24 Si 0.9338 0.2500 0.3793
25 B 0.0081 0.5081 0.7500
26 B 0.0081 0.9919 0.7500
27 B 0.4919 0.5081 0.7500
28 B 0.4919 0.9919 0.7500
29 B 0.5081 0.0081 0.2500
30 B 0.5081 0.4919 0.2500
31 B 0.9919 0.0081 0.2500
32 B 0.9919 0.4919 0.2500

---

The following is a simulated XRD peak list of VSb2. It was derived from a cell relaxed with GGA-PBE, using Cu Kα (λ = 1.5418 Å).
Neutral-atom scattering factors, no anomalous dispersion.

The 6 most intense peaks (5 to 70 degrees two-theta), sorted by position:
d (Å)	I_rel
2.798	160
2.612	1000
2.400	175
2.134	166
2.088	246
1.577	209

a b c (Å): 5.4433 5.4433 5.4433
angles (deg): 105.32 105.32 118.14
Atoms (fractional coordinates):
1 V 0.2500 0.2500 0.0000
2 V 0.7500 0.7500 0.0000
3 Sb 0.1568 0.6568 0.8137
4 Sb 0.3432 0.1568 0.5000
5 Sb 0.6568 0.8432 0.5000
6 Sb 0.8432 0.3432 0.1863

---

Repeat the first record exactly.
The following is a simulated XRD peak list of KInPb. It was derived from a cell relaxed with GGA-PBE, using Cu Kα (λ = 1.5418 Å).
Neutral-atom scattering factors, no anomalous dispersion.

The 6 most intense peaks (5 to 70 degrees two-theta), sorted by position:
d (Å)	I_rel
6.123	812
3.001	1000
2.942	962
2.587	594
2.544	486
1.814	411

a b c (Å): 7.4286 5.0912 10.8141
angles (deg): 90.00 90.00 90.00
Atoms (fractional coordinates):
1 K 0.1228 0.2500 0.0878
2 K 0.3772 0.7500 0.5878
3 K 0.6228 0.2500 0.4122
4 K 0.8772 0.7500 0.9122
5 In 0.0735 0.2500 0.7191
6 In 0.4265 0.7500 0.2191
7 In 0.5735 0.2500 0.7809
8 In 0.9265 0.7500 0.2809
9 Pb 0.1139 0.2500 0.4271
10 Pb 0.3861 0.7500 0.9271
11 Pb 0.6139 0.2500 0.0729
12 Pb 0.8861 0.7500 0.5729

---

- What is the formula in the first record?
  KInPb